Record 1
Structure and simulated powder X-ray diffraction pattern of Na2Tl2InPb (DFT lattice parameters and positions (GGA-PBE); CuKα).
Neutral-atom scattering factors, no anomalous dispersion.

Top 6 peaks for 2θ = 15–90°, in order of rising 2θ:
2θ/deg  intensity  hkl
30.50  28  0 3 1
31.55  42  2 0 0
33.27  58  1 0 2
34.44  100  1 3 1
58.06  23  3 3 1
62.62  23  2 3 3

Lattice parameters (Å, degrees): 5.671 10.017 6.120 90.00 90.00 90.00
Space group Pmc2_1 (No. 26)
Asymmetric unit:
Na: 0.000 0.078 0.000 (multiplicity 2)
Na: 0.500 0.248 0.202 (multiplicity 2)
Tl: 0.000 0.409 0.022 (multiplicity 2)
Tl: 0.500 0.085 0.687 (multiplicity 2)
In: 0.000 0.260 0.520 (multiplicity 2)
Pb: 0.500 0.416 0.700 (multiplicity 2)

=====

Record 2
Structure and simulated powder X-ray diffraction pattern of NaTl2In6Pb2 (DFT lattice parameters and positions (GGA-PBE); CuKα).
Neutral-atom scattering factors, no anomalous dispersion.

Top 6 peaks for 2θ = 15–90°, in order of rising 2θ:
2θ/deg  intensity  hkl
31.48  100  -2 1 1
33.47  85  1 -2 2
33.65  43  0 1 2
34.03  42  1 1 -3
44.89  18  1 -3 0
57.18  22  4 -1 0

Lattice parameters (Å, degrees): 6.604 6.622 8.099 112.45 101.49 94.62
Space group P-1 (No. 2)
Asymmetric unit:
Na: 0.000 0.000 0.000 (multiplicity 1)
Tl: 0.382 0.460 0.278 (multiplicity 2)
In: 0.154 0.738 0.623 (multiplicity 2)
In: 0.270 0.064 0.438 (multiplicity 2)
In: 0.479 0.846 0.106 (multiplicity 2)
Pb: 0.114 0.397 0.818 (multiplicity 2)

=====

Record 3
Structure and simulated powder X-ray diffraction pattern of NaYInPb (DFT lattice parameters and positions (GGA-PBE); CuKα).
Neutral-atom scattering factors, no anomalous dispersion.

Top 6 peaks for 2θ = 15–90°, in order of rising 2θ:
2θ/deg  intensity  hkl
19.74  19  1 0 0
25.91  20  0 1 1
32.79  100  1 1 1
36.52  19  0 0 2
37.42  17  0 2 0
63.39  15  1 1 3

Lattice parameters (Å, degrees): 4.496 4.806 4.921 90.00 90.00 90.00
Space group Pmmm (No. 47)
Asymmetric unit:
Na: 0.000 0.000 0.000 (multiplicity 1)
Y: 0.000 0.500 0.500 (multiplicity 1)
In: 0.500 0.500 0.000 (multiplicity 1)
Pb: 0.500 0.000 0.500 (multiplicity 1)

=====

Record 4
Structure and simulated powder X-ray diffraction pattern of NaIn4Pd15 (DFT lattice parameters and positions (GGA-PBE); CuKα).
Neutral-atom scattering factors, no anomalous dispersion.

Top 6 peaks for 2θ = 15–90°, in order of rising 2θ:
2θ/deg  intensity  hkl
38.64  100  1 1 5
44.79  33  2 0 0
45.17  16  0 0 10
65.49  20  2 0 10
78.43  24  3 1 5
78.97  12  1 1 15

Lattice parameters (Å, degrees): 4.047 4.047 20.075 90.00 90.00 90.00
Space group P4/mmm (No. 123)
Asymmetric unit:
Na: 0.000 0.000 0.000 (multiplicity 1)
In: 0.000 0.000 0.199 (multiplicity 2)
In: 0.000 0.000 0.400 (multiplicity 2)
Pd: 0.000 0.500 0.101 (multiplicity 4)
Pd: 0.000 0.500 0.299 (multiplicity 4)
Pd: 0.000 0.500 0.500 (multiplicity 2)
Pd: 0.500 0.500 0.000 (multiplicity 1)
Pd: 0.500 0.500 0.199 (multiplicity 2)
Pd: 0.500 0.500 0.399 (multiplicity 2)

=====

Record 5
Structure and simulated powder X-ray diffraction pattern of NaIn4Pd (DFT lattice parameters and positions (GGA-PBE); CuKα).
Neutral-atom scattering factors, no anomalous dispersion.

Top 6 peaks for 2θ = 15–90°, in order of rising 2θ:
2θ/deg  intensity  hkl
29.98  87  2 1 1
34.78  38  1 1 4
36.68  100  2 1 3
39.55  39  2 0 4
41.55  51  3 1 0
61.24  27  2 1 7

Lattice parameters (Å, degrees): 6.873 6.873 12.174 90.00 90.00 90.00
Space group I4/mcm (No. 140)
Asymmetric unit:
Na: 0.000 0.000 0.000 (multiplicity 4)
In: 0.160 0.340 0.141 (multiplicity 16)
Pd: 0.000 0.000 0.250 (multiplicity 4)

=====

Record 6
Structure and simulated powder X-ray diffraction pattern of Na2In5Pd2 (DFT lattice parameters and positions (GGA-PBE); CuKα).
Neutral-atom scattering factors, no anomalous dispersion.

Top 6 peaks for 2θ = 15–90°, in order of rising 2θ:
2θ/deg  intensity  hkl
31.19  77  3 1 2
35.18  100  4 2 1
37.59  74  5 1 2
38.65  54  1 1 3
41.13  45  1 3 1
41.55  28  8 0 0

Lattice parameters (Å, degrees): 17.387 6.947 7.495 90.00 90.00 90.00
Space group Cmce (No. 64)
Asymmetric unit:
Na: 0.225 0.000 0.000 (multiplicity 8)
In: 0.000 0.000 0.000 (multiplicity 4)
In: 0.112 0.162 0.346 (multiplicity 16)
Pd: 0.000 0.135 0.650 (multiplicity 8)

=====

Record 7
Structure and simulated powder X-ray diffraction pattern of NaIn2Pd3 (DFT lattice parameters and positions (GGA-PBE); CuKα).
Neutral-atom scattering factors, no anomalous dispersion.

Top 6 peaks for 2θ = 15–90°, in order of rising 2θ:
2θ/deg  intensity  hkl
17.61  66  1 0 0
35.65  15  2 0 0
37.17  50  1 1 1
41.41  100  0 0 2
64.03  17  2 2 0
79.18  29  2 2 2

Lattice parameters (Å, degrees): 5.8166 5.8166 4.3576 90.00 90.00 120.00
Space group P6/mmm (No. 191)
Asymmetric unit:
Na: 0.0000 0.0000 0.0000 (multiplicity 1)
In: 0.3333 0.6667 0.5000 (multiplicity 2)
Pd: 0.0000 0.5000 0.0000 (multiplicity 3)

=====

Record 8
Structure and simulated powder X-ray diffraction pattern of NaIn9Pd3 (DFT lattice parameters and positions (GGA-PBE); CuKα).
Neutral-atom scattering factors, no anomalous dispersion.

Top 6 peaks for 2θ = 15–90°, in order of rising 2θ:
2θ/deg  intensity  hkl
35.14  38  2 2 0
35.34  36  1 5 0
35.63  100  0 4 2
39.09  40  2 0 1
40.03  61  2 4 -1
40.19  40  0 2 3

Lattice parameters (Å, degrees): 5.797 14.344 7.517 90.00 109.49 90.00
Space group C2/m (No. 12)
Asymmetric unit:
Na: 0.000 0.000 0.000 (multiplicity 2)
In: 0.000 0.000 0.500 (multiplicity 2)
In: 0.087 0.391 0.209 (multiplicity 8)
In: 0.158 0.178 0.332 (multiplicity 8)
Pd: 0.000 0.500 0.500 (multiplicity 2)
Pd: 0.250 0.250 0.000 (multiplicity 4)